# 1
Diffraction record for Ca2CoWO6. The powder X-ray diffraction pattern is simulated, not measured: it uses DFT lattice parameters and positions (GGA+U) and Cu Kα (λ = 1.5418 Å).
Intensities are scaled so that the largest is 100.

Structure:
a = 5.577 Å, b = 5.598 Å, c = 9.636 Å
α = 73.45°, β = 89.84°, γ = 60.13°
Space group P1 (No. 1)
Asymmetric unit:
Ca: 0.000 0.000 0.000
Ca: 0.249 0.502 0.750
Ca: 0.499 0.003 0.501
Ca: 0.749 0.504 0.250
Co: 0.400 0.201 0.133
Co: 0.897 0.205 0.632
W: 0.153 0.694 0.385
W: 0.653 0.692 0.885
O: 0.059 0.434 0.962
O: 0.094 0.435 0.549
O: 0.124 0.921 0.509
O: 0.197 0.431 0.274
O: 0.241 0.918 0.224
O: 0.256 0.919 0.807
O: 0.559 0.434 0.462
O: 0.594 0.435 0.049
O: 0.623 0.921 0.009
O: 0.697 0.429 0.774
O: 0.742 0.917 0.724
O: 0.755 0.919 0.308

Top 10 peaks for 2θ from 10° to 90°, sorted by position:
| 2θ/deg | I (rel.) | hkl |
| --- | --- | --- |
| 19.5 | 58 | 1 1 1 |
| 22.5 | 63 | 1 0 1 |
| 22.6 | 31 | 0 1 2 |
| 32.0 | 100 | 1 2 1 |
| 32.1 | 61 | 2 1 0 |
| 32.2 | 30 | 1 0 -3 |
| 37.8 | 23 | 1 1 -3 |
| 57.1 | 20 | 3 0 -1 |
| 57.2 | 23 | 3 2 3 |
| 57.3 | 24 | 0 1 6 |


# 2
Diffraction record for Ca2YCoO5. The powder X-ray diffraction pattern is simulated, not measured: it uses DFT lattice parameters and positions (GGA+U) and Cu Kα (λ = 1.5418 Å).
Intensities are scaled so that the largest is 100.

Structure:
a = 17.970 Å, b = 5.168 Å, c = 5.397 Å
α = 90.00°, β = 107.34°, γ = 90.00°
Space group C2 (No. 5)
Asymmetric unit:
Ca: 0.097 0.000 0.119
Ca: 0.098 0.497 0.579
Y: 0.249 0.470 0.217
Co: 0.000 0.004 0.500
Co: 0.000 0.505 0.000
O: 0.011 0.259 0.763
O: 0.011 0.748 0.761
O: 0.125 0.512 0.174
O: 0.130 0.014 0.574
O: 0.250 0.024 0.190

Top 10 peaks for 2θ from 10° to 90°, sorted by position:
| 2θ/deg | I (rel.) | hkl |
| --- | --- | --- |
| 20.7 | 28 | 4 0 0 |
| 23.8 | 26 | 1 1 -1 |
| 31.8 | 100 | 5 1 -1 |
| 33.2 | 42 | 2 0 -2 |
| 34.7 | 42 | 0 2 0 |
| 42.1 | 23 | 8 0 0 |
| 48.8 | 41 | 2 2 -2 |
| 49.0 | 22 | 7 1 1 |
| 58.4 | 17 | 7 1 -3 |
| 60.4 | 15 | 5 3 -1 |


# 3
Diffraction record for CaLaCrCuO6. The powder X-ray diffraction pattern is simulated, not measured: it uses DFT lattice parameters and positions (GGA+U) and Cu Kα (λ = 1.5418 Å).
Intensities are scaled so that the largest is 100.

Structure:
a = 5.472 Å, b = 5.552 Å, c = 9.427 Å
α = 90.00°, β = 125.42°, γ = 90.00°
Space group Pc (No. 7)
Asymmetric unit:
Ca: 0.000 0.199 0.000
La: 0.483 0.288 0.501
Cr: 0.738 0.249 0.250
Cu: 0.240 0.251 0.751
O: 0.058 0.042 0.289
O: 0.411 0.448 0.208
O: 0.488 0.036 0.709
O: 0.581 0.267 0.006
O: 0.910 0.230 0.494
O: 0.992 0.462 0.798

Top 10 peaks for 2θ from 10° to 90°, sorted by position:
| 2θ/deg | I (rel.) | hkl |
| --- | --- | --- |
| 19.7 | 17 | 0 1 1 |
| 19.9 | 17 | 1 0 0 |
| 32.2 | 19 | 0 2 0 |
| 32.7 | 100 | 1 1 1 |
| 46.6 | 24 | 2 2 -2 |
| 47.3 | 13 | 0 0 4 |
| 57.8 | 12 | 1 3 1 |
| 58.4 | 27 | 3 1 -1 |
| 58.7 | 9 | 2 0 -6 |
| 68.6 | 15 | 4 0 -4 |


# 4
Diffraction record for CaCr4Cu3O12. The powder X-ray diffraction pattern is simulated, not measured: it uses DFT lattice parameters and positions (GGA+U) and Cu Kα (λ = 1.5418 Å).
Intensities are scaled so that the largest is 100.

Structure:
a = 10.4450 Å, b = 10.4450 Å, c = 6.3863 Å
α = 90.00°, β = 90.00°, γ = 120.00°
Space group R-3 (No. 148, hexagonal axes)
Asymmetric unit:
Ca: 0.0000 0.0000 0.0000
Cr: 0.0000 0.0000 0.5000
Cr: 0.0000 0.5000 0.5000
Cu: 0.0000 0.5000 0.0000
O: 0.0100 0.1611 0.6798
O: 0.0471 0.2644 0.0939

Top 10 peaks for 2θ from 10° to 90°, sorted by position:
| 2θ/deg | I (rel.) | hkl |
| --- | --- | --- |
| 17.0 | 3 | 1 1 0 |
| 29.6 | 4 | 0 1 2 |
| 34.4 | 100 | 2 2 0 |
| 38.6 | 7 | 4 -3 1 |
| 42.4 | 3 | 4 0 1 |
| 46.0 | 3 | 1 1 3 |
| 49.4 | 25 | 0 4 2 |
| 61.5 | 49 | 4 2 2 |
| 72.4 | 11 | 4 4 0 |
| 82.7 | 15 | 8 -6 2 |


# 5
Diffraction record for Ca3CrF6. The powder X-ray diffraction pattern is simulated, not measured: it uses DFT lattice parameters and positions (GGA+U) and Cu Kα (λ = 1.5418 Å).
Intensities are scaled so that the largest is 100.

Structure:
a = 6.729 Å, b = 7.105 Å, c = 7.245 Å
α = 111.38°, β = 98.14°, γ = 109.71°
Space group P-1 (No. 2)
Asymmetric unit:
Ca: 0.000 0.000 0.000
Ca: 0.000 0.000 0.500
Ca: 0.500 0.500 0.000
Cr: 0.500 0.000 0.500
F: 0.198 0.087 0.301
F: 0.223 0.855 0.565
F: 0.430 0.720 0.243

Top 10 peaks for 2θ from 10° to 90°, sorted by position:
| 2θ/deg | I (rel.) | hkl |
| --- | --- | --- |
| 13.8 | 18 | 0 0 1 |
| 14.8 | 100 | 0 1 0 |
| 15.1 | 79 | 0 1 -1 |
| 15.8 | 18 | 1 -1 0 |
| 19.6 | 43 | 1 -1 1 |
| 22.5 | 27 | 1 1 -1 |
| 24.4 | 20 | 0 1 1 |
| 24.9 | 22 | 1 1 0 |
| 32.0 | 21 | 2 -2 0 |
| 39.8 | 22 | 2 -2 2 |


# 6
Diffraction record for CaCrF5. The powder X-ray diffraction pattern is simulated, not measured: it uses DFT lattice parameters and positions (GGA+U) and Cu Kα (λ = 1.5418 Å).
Intensities are scaled so that the largest is 100.

Structure:
a = 9.095 Å, b = 6.575 Å, c = 7.680 Å
α = 90.00°, β = 115.11°, γ = 90.00°
Space group C2/c (No. 15)
Asymmetric unit:
Ca: 0.000 0.042 0.250
Cr: 0.000 0.500 0.000
F: 0.000 0.423 0.250
F: 0.011 0.206 0.971
F: 0.231 0.479 0.619

Top 10 peaks for 2θ from 10° to 90°, sorted by position:
| 2θ/deg | I (rel.) | hkl |
| --- | --- | --- |
| 17.3 | 15 | 1 1 0 |
| 21.6 | 100 | 2 0 0 |
| 26.9 | 94 | 1 1 -2 |
| 27.1 | 46 | 0 2 0 |
| 44.0 | 34 | 4 0 0 |
| 47.3 | 24 | 2 0 -4 |
| 47.8 | 30 | 1 3 -2 |
| 52.4 | 23 | 4 2 0 |
| 55.4 | 14 | 2 2 -4 |
| 66.9 | 17 | 3 3 2 |


# 7
Diffraction record for CaCrF4. The powder X-ray diffraction pattern is simulated, not measured: it uses DFT lattice parameters and positions (GGA+U) and Cu Kα (λ = 1.5418 Å).
Intensities are scaled so that the largest is 100.

Structure:
a = 5.495 Å, b = 5.495 Å, c = 10.775 Å
α = 90.00°, β = 90.00°, γ = 90.00°
Space group I4/mcm (No. 140)
Asymmetric unit:
Ca: 0.000 0.000 0.250
Cr: 0.000 0.500 0.000
F: 0.190 0.310 0.128

Top 10 peaks for 2θ from 10° to 90°, sorted by position:
| 2θ/deg | I (rel.) | hkl |
| --- | --- | --- |
| 28.3 | 100 | 1 1 2 |
| 37.5 | 12 | 2 1 1 |
| 44.7 | 7 | 2 1 3 |
| 46.8 | 23 | 2 2 0 |
| 47.3 | 54 | 2 0 4 |
| 55.6 | 26 | 3 1 2 |
| 56.4 | 12 | 1 1 6 |
| 76.2 | 11 | 3 1 6 |
| 87.2 | 7 | 4 2 4 |
| 88.3 | 6 | 2 2 8 |


What did the sixth record say?
Diffraction record for CaCrF5. The powder X-ray diffraction pattern is simulated, not measured: it uses DFT lattice parameters and positions (GGA+U) and Cu Kα (λ = 1.5418 Å).
Intensities are scaled so that the largest is 100.

Structure:
a = 9.095 Å, b = 6.575 Å, c = 7.680 Å
α = 90.00°, β = 115.11°, γ = 90.00°
Space group C2/c (No. 15)
Asymmetric unit:
Ca: 0.000 0.042 0.250
Cr: 0.000 0.500 0.000
F: 0.000 0.423 0.250
F: 0.011 0.206 0.971
F: 0.231 0.479 0.619

Top 10 peaks for 2θ from 10° to 90°, sorted by position:
| 2θ/deg | I (rel.) | hkl |
| --- | --- | --- |
| 17.3 | 15 | 1 1 0 |
| 21.6 | 100 | 2 0 0 |
| 26.9 | 94 | 1 1 -2 |
| 27.1 | 46 | 0 2 0 |
| 44.0 | 34 | 4 0 0 |
| 47.3 | 24 | 2 0 -4 |
| 47.8 | 30 | 1 3 -2 |
| 52.4 | 23 | 4 2 0 |
| 55.4 | 14 | 2 2 -4 |
| 66.9 | 17 | 3 3 2 |